[1]
For BaLaCd17, a structure optimized by DFT (PBE) gives the simulated PXRD pattern in this record (Cu Ka).
Kinematic intensities with the Lorentz-polarization factor, no thermal factor.

Lattice parameters (Å, degrees): 10.2716 10.2716 15.1632 90.00 90.00 120.00
Space group R3m (No. 160, hexagonal axes)
Symmetry-distinct sites (fractional):
1 Ba 0.0000 0.0000 0.0000
2 La 0.0000 0.0000 0.3327
3 Cd 0.0000 0.0000 0.5603
4 Cd 0.0000 0.0000 0.7590
5 Cd 0.0381 0.3689 0.3315
6 Cd 0.1678 0.3356 0.1453
7 Cd 0.1723 0.3445 0.5003
8 Cd 0.1802 0.3604 0.8488

Peak list (10 most intense, 2θ = 15–90°, by angle)
| 2θ/deg | d [Å] | I_rel | index |
| --- | --- | --- | --- |
| 30.14 | 2.965 | 32.7 | 3 0 0 |
| 31.00 | 2.885 | 26.5 | 0 2 4 |
| 34.94 | 2.568 | 57.1 | 2 2 0 |
| 35.09 | 2.558 | 100.0 | 0 3 3 |
| 35.52 | 2.527 | 33.9 | 0 0 6 |
| 35.84 | 2.506 | 29.3 | 2 0 5 |
| 39.36 | 2.289 | 62.3 | 2 2 3 |
| 39.75 | 2.268 | 15.3 | 1 1 6 |
| 62.66 | 1.483 | 20.7 | 6 0 0 |
| 63.51 | 1.465 | 21.0 | 0 3 9 |

[2]
For BaLa2Cd, a structure optimized by DFT (PBE) gives the simulated PXRD pattern in this record (Cu Ka).
Kinematic intensities with the Lorentz-polarization factor, no thermal factor.

Lattice parameters (Å, degrees): 4.142 5.871 12.251 90.00 90.00 90.00
Space group Imm2 (No. 44)
Symmetry-distinct sites (fractional):
1 Ba 0.000 0.000 0.000
2 La 0.000 0.000 0.441
3 La 0.000 0.500 0.216
4 Cd 0.000 0.500 0.732

Peak list (10 most intense, 2θ = 15–90°, by angle)
| 2θ/deg | d [Å] | I_rel | index |
| --- | --- | --- | --- |
| 29.16 | 3.063 | 21.6 | 0 0 4 |
| 30.17 | 2.963 | 100.0 | 1 1 2 |
| 30.45 | 2.936 | 26.3 | 0 2 0 |
| 42.66 | 2.119 | 15.2 | 0 2 4 |
| 43.70 | 2.071 | 9.7 | 2 0 0 |
| 52.33 | 1.748 | 10.9 | 1 1 6 |
| 53.44 | 1.715 | 12.7 | 2 0 4 |
| 53.93 | 1.700 | 19.2 | 1 3 2 |
| 54.20 | 1.692 | 10.2 | 2 2 0 |
| 62.72 | 1.481 | 9.6 | 2 2 4 |

[3]
For BaLa2CdO5, a structure optimized by DFT (PBE) gives the simulated PXRD pattern in this record (Cu Ka).
Kinematic intensities with the Lorentz-polarization factor, no thermal factor.

Lattice parameters (Å, degrees): 6.994 6.994 12.388 90.00 90.00 90.00
Space group I4/mcm (No. 140)
Symmetry-distinct sites (fractional):
1 Ba 0.000 0.000 0.250
2 La 0.176 0.324 0.000
3 Cd 0.000 0.500 0.250
4 O 0.000 0.000 0.000
5 O 0.155 0.345 0.373

Peak list (10 most intense, 2θ = 15–90°, by angle)
| 2θ/deg | d [Å] | I_rel | index |
| --- | --- | --- | --- |
| 28.83 | 3.097 | 37.0 | 0 0 4 |
| 29.33 | 3.045 | 100.0 | 2 0 2 |
| 29.46 | 3.032 | 31.9 | 2 1 1 |
| 36.02 | 2.493 | 40.5 | 2 1 3 |
| 36.33 | 2.473 | 25.1 | 2 2 0 |
| 46.78 | 1.942 | 18.3 | 2 1 5 |
| 47.03 | 1.932 | 21.5 | 2 2 4 |
| 51.40 | 1.778 | 21.0 | 2 0 6 |
| 54.57 | 1.682 | 20.7 | 4 0 2 |
| 58.86 | 1.569 | 11.8 | 4 1 3 |

[4]
For BaLa2Cd2Pb2, a structure optimized by DFT (PBE) gives the simulated PXRD pattern in this record (Cu Ka).
Kinematic intensities with the Lorentz-polarization factor, no thermal factor.

Lattice parameters (Å, degrees): 5.2692 5.2692 29.6272 90.00 90.00 120.00
Space group R-3m (No. 166, hexagonal axes)
Symmetry-distinct sites (fractional):
1 Ba 0.0000 0.0000 0.0000
2 La 0.0000 0.0000 0.1360
3 Cd 0.0000 0.0000 0.4330
4 Pb 0.0000 0.0000 0.2590

Peak list (10 most intense, 2θ = 15–90°, by angle)
| 2θ/deg | d [Å] | I_rel | index |
| --- | --- | --- | --- |
| 17.96 | 4.938 | 15.6 | 0 0 6 |
| 28.77 | 3.103 | 85.9 | 1 0 7 |
| 31.10 | 2.876 | 29.9 | 0 1 8 |
| 34.03 | 2.635 | 100.0 | 1 1 0 |
| 36.15 | 2.485 | 19.4 | 1 0 10 |
| 38.74 | 2.324 | 15.2 | 1 1 6 |
| 45.14 | 2.008 | 25.0 | 0 2 7 |
| 53.41 | 1.716 | 14.3 | 1 0 16 |
| 57.72 | 1.597 | 23.9 | 2 1 7 |
| 60.91 | 1.521 | 18.6 | 3 0 0 |

[5]
For Ba2LaCdTe5, a structure optimized by DFT (PBE) gives the simulated PXRD pattern in this record (Cu Ka).
Kinematic intensities with the Lorentz-polarization factor, no thermal factor.

Lattice parameters (Å, degrees): 4.701 20.596 14.137 90.00 90.00 90.00
Space group Cmc2_1 (No. 36)
Symmetry-distinct sites (fractional):
1 Ba 0.000 0.115 0.000
2 Ba 0.000 0.126 0.633
3 La 0.000 0.206 0.328
4 Cd 0.000 0.442 0.754
5 Te 0.000 0.048 0.369
6 Te 0.000 0.294 0.983
7 Te 0.000 0.309 0.670
8 Te 0.000 0.359 0.320
9 Te 0.000 0.496 0.078

Peak list (10 most intense, 2θ = 15–90°, by angle)
| 2θ/deg | d [Å] | I_rel | index |
| --- | --- | --- | --- |
| 23.13 | 3.845 | 12.3 | 1 1 2 |
| 26.72 | 3.336 | 58.7 | 0 6 1 |
| 27.14 | 3.285 | 100.0 | 1 1 3 |
| 28.83 | 3.097 | 15.7 | 1 5 0 |
| 31.53 | 2.837 | 49.1 | 1 5 2 |
| 34.65 | 2.589 | 12.7 | 1 5 3 |
| 38.28 | 2.351 | 44.8 | 2 0 0 |
| 39.23 | 2.297 | 12.1 | 0 2 6 |
| 44.46 | 2.038 | 23.5 | 1 7 4 |
| 47.31 | 1.921 | 24.4 | 2 6 1 |

[6]
For Ba3Li6Cd2, a structure optimized by DFT (PBE) gives the simulated PXRD pattern in this record (Cu Ka).
Kinematic intensities with the Lorentz-polarization factor, no thermal factor.

Lattice parameters (Å, degrees): 11.021 11.021 11.021 90.00 90.00 90.00
Space group Im-3m (No. 229)
Symmetry-distinct sites (fractional):
1 Ba 0.000 0.000 0.274
2 Li 0.000 0.330 0.330
3 Cd 0.250 0.250 0.250

Peak list (10 most intense, 2θ = 15–90°, by angle)
| 2θ/deg | d [Å] | I_rel | index |
| --- | --- | --- | --- |
| 19.73 | 4.499 | 48.5 | 2 1 1 |
| 25.56 | 3.485 | 30.4 | 3 1 0 |
| 28.05 | 3.182 | 100.0 | 2 2 2 |
| 30.35 | 2.946 | 12.6 | 3 2 1 |
| 32.50 | 2.755 | 51.8 | 4 0 0 |
| 34.53 | 2.598 | 21.2 | 3 3 0 |
| 45.06 | 2.012 | 23.1 | 5 2 1 |
| 46.62 | 1.948 | 33.4 | 4 4 0 |
| 55.29 | 1.661 | 39.7 | 6 2 2 |
| 75.15 | 1.264 | 13.2 | 6 6 2 |